# 1
This entry pairs a crystal structure of Na6F5 with its theoretical powder diffraction line list. Radiation: λ = 1.5418 Å (Cu Kα). Structure: the PBE geometry in Alexandria.
Kinematic intensities with the Lorentz-polarization factor, no thermal factor.

Crystal structure
a = 5.849 Å, b = 5.849 Å, c = 5.854 Å
α = 99.67°, β = 99.67°, γ = 119.91°
Positions (direct):
Na  0.069  0.415  0.746
Na  0.241  0.241  0.260
Na  0.415  0.069  0.746
Na  0.585  0.931  0.254
Na  0.759  0.759  0.740
Na  0.931  0.585  0.254
F  0.000  0.000  0.500
F  0.167  0.833  0.000
F  0.334  0.666  0.500
F  0.666  0.334  0.500
F  0.833  0.167  0.000

Peak list (10 most intense, 2θ = 15–90°, sorted by position)
d [Å], I_rel
5.514, 3
5.063, 3
4.845, 5
4.326, 3
2.758, 7
2.389, 100
1.689, 59
1.440, 3
1.379, 17
1.193, 5

***

# 2
This entry pairs a crystal structure of Te4Mo3WSe4 with its theoretical powder diffraction line list. Radiation: λ = 1.5418 Å (Cu Kα). Structure: the PBE geometry in Alexandria.
Kinematic intensities with the Lorentz-polarization factor, no thermal factor.

Crystal structure
a = 3.437 Å, b = 3.437 Å, c = 29.005 Å
α = 90.00°, β = 90.00°, γ = 120.00°
Positions (direct):
Te  0.000  0.000  0.000
Te  0.000  0.000  0.128
Te  0.333  0.667  0.261
Te  0.333  0.667  0.390
Mo  0.000  0.000  0.816
Mo  0.333  0.667  0.064
Mo  0.333  0.667  0.575
W  0.000  0.000  0.325
Se  0.000  0.000  0.519
Se  0.000  0.000  0.632
Se  0.333  0.667  0.759
Se  0.333  0.667  0.872

Peak list (10 most intense, 2θ = 15–90°, sorted by position)
d [Å], I_rel
2.977, 44
2.754, 12
2.535, 100
2.187, 10
2.077, 59
1.719, 34
1.422, 16
1.324, 14
1.247, 16
1.096, 15

***

# 3
This entry pairs a crystal structure of Ca4HoGa5 with its theoretical powder diffraction line list. Radiation: λ = 1.5418 Å (Cu Kα). Structure: the PBE geometry in Alexandria.
Kinematic intensities with the Lorentz-polarization factor, no thermal factor.

Crystal structure
a = 3.658 Å, b = 3.658 Å, c = 18.128 Å
α = 90.00°, β = 90.00°, γ = 90.00°
Positions (direct):
Ca  0.000  0.000  0.101
Ca  0.000  0.000  0.302
Ca  0.000  0.000  0.698
Ca  0.000  0.000  0.899
Ho  0.000  0.000  0.500
Ga  0.500  0.500  0.000
Ga  0.500  0.500  0.201
Ga  0.500  0.500  0.407
Ga  0.500  0.500  0.593
Ga  0.500  0.500  0.799

Peak list (10 most intense, 2θ = 15–90°, sorted by position)
d [Å], I_rel
2.587, 52
2.575, 100
1.829, 18
1.813, 8
1.491, 35
1.485, 17
1.288, 10
1.157, 8
1.156, 7
1.148, 7

***

# 4
This entry pairs a crystal structure of Pm2Pr2Nd3 with its theoretical powder diffraction line list. Radiation: λ = 1.5418 Å (Cu Kα). Structure: the PBE geometry in Alexandria.
Kinematic intensities with the Lorentz-polarization factor, no thermal factor.

Crystal structure
a = 6.610 Å, b = 12.649 Å, c = 7.156 Å
α = 90.00°, β = 122.63°, γ = 90.00°
Positions (direct):
Pm  0.002  0.208  0.339
Pm  0.002  0.292  0.839
Pm  0.998  0.708  0.161
Pm  0.998  0.792  0.661
Pr  0.409  0.614  0.063
Pr  0.409  0.886  0.563
Pr  0.591  0.114  0.437
Pr  0.591  0.386  0.937
Nd  0.000  0.000  0.000
Nd  0.000  0.500  0.500
Nd  0.414  0.115  0.849
Nd  0.414  0.385  0.349
Nd  0.586  0.615  0.651
Nd  0.586  0.885  0.151

Peak list (10 most intense, 2θ = 15–90°, sorted by position)
d [Å], I_rel
3.453, 37
3.188, 27
2.927, 100
2.919, 23
2.783, 24
2.749, 57
2.727, 48
1.898, 14
1.613, 14
1.497, 14

***

# 5
This entry pairs a crystal structure of Pr2ErLu with its theoretical powder diffraction line list. Radiation: λ = 1.5418 Å (Cu Kα). Structure: the PBE geometry in Alexandria.
Kinematic intensities with the Lorentz-polarization factor, no thermal factor.

Crystal structure
a = 5.731 Å, b = 5.731 Å, c = 5.731 Å
α = 60.00°, β = 60.00°, γ = 60.00°
Positions (direct):
Pr  0.250  0.250  0.250
Pr  0.750  0.750  0.750
Er  0.000  0.000  0.000
Lu  0.500  0.500  0.500

Peak list (7 most intense, 2θ = 15–90°, sorted by position)
d [Å], I_rel
4.053, 1
2.866, 100
2.026, 19
1.654, 39
1.433, 12
1.282, 17
1.170, 4

***

# 6
This entry pairs a crystal structure of LiBe8Cu3 with its theoretical powder diffraction line list. Radiation: λ = 1.5418 Å (Cu Kα). Structure: the PBE geometry in Alexandria.
Kinematic intensities with the Lorentz-polarization factor, no thermal factor.

Crystal structure
a = 4.270 Å, b = 4.270 Å, c = 6.940 Å
α = 90.00°, β = 90.00°, γ = 120.00°
Positions (direct):
Li  0.000  0.000  0.000
Be  0.166  0.332  0.688
Be  0.166  0.834  0.688
Be  0.333  0.667  0.440
Be  0.333  0.667  0.939
Be  0.501  0.002  0.193
Be  0.501  0.499  0.193
Be  0.668  0.834  0.688
Be  0.998  0.499  0.193
Cu  0.000  0.000  0.377
Cu  0.667  0.333  0.499
Cu  0.667  0.333  0.885

Peak list (10 most intense, 2θ = 15–90°, sorted by position)
d [Å], I_rel
3.698, 98
3.470, 50
3.263, 91
2.530, 65
2.135, 93
1.961, 100
1.818, 83
1.786, 30
1.299, 21
1.196, 35

***

# 7
This entry pairs a crystal structure of BaLiV with its theoretical powder diffraction line list. Radiation: λ = 1.5418 Å (Cu Kα). Structure: the PBE geometry in Alexandria.
Kinematic intensities with the Lorentz-polarization factor, no thermal factor.

Crystal structure
a = 3.426 Å, b = 6.348 Å, c = 7.965 Å
α = 84.34°, β = 82.99°, γ = 84.91°
Positions (direct):
Ba  0.011  0.100  0.256
Ba  0.989  0.900  0.744
Li  0.257  0.594  0.144
Li  0.743  0.406  0.856
V  0.358  0.389  0.558
V  0.642  0.611  0.442

Peak list (10 most intense, 2θ = 15–90°, sorted by position)
d [Å], I_rel
4.718, 85
3.937, 55
3.480, 100
3.391, 42
3.213, 56
3.018, 78
2.893, 72
2.838, 51
2.728, 83
2.399, 52

***

# 8
This entry pairs a crystal structure of Pd4RhPb10 with its theoretical powder diffraction line list. Radiation: λ = 1.5418 Å (Cu Kα). Structure: the PBE geometry in Alexandria.
Kinematic intensities with the Lorentz-polarization factor, no thermal factor.

Crystal structure
a = 20.183 Å, b = 20.183 Å, c = 20.183 Å
α = 13.48°, β = 13.48°, γ = 13.48°
Positions (direct):
Pd  0.101  0.101  0.101
Pd  0.300  0.300  0.300
Pd  0.700  0.700  0.700
Pd  0.899  0.899  0.899
Rh  0.500  0.500  0.500
Pb  0.051  0.051  0.051
Pb  0.151  0.151  0.151
Pb  0.250  0.250  0.250
Pb  0.350  0.350  0.350
Pb  0.452  0.452  0.452
Pb  0.548  0.548  0.548
Pb  0.650  0.650  0.650
Pb  0.750  0.750  0.750
Pb  0.849  0.849  0.849
Pb  0.949  0.949  0.949

Peak list (10 most intense, 2θ = 15–90°, sorted by position)
d [Å], I_rel
3.881, 17
3.386, 81
2.421, 100
2.368, 95
1.941, 18
1.693, 34
1.528, 17
1.409, 18
1.377, 35
1.367, 17

***

# 9
This entry pairs a crystal structure of Cs2SrSBr6 with its theoretical powder diffraction line list. Radiation: λ = 1.5418 Å (Cu Kα). Structure: the PBE geometry in Alexandria.
Kinematic intensities with the Lorentz-polarization factor, no thermal factor.

Crystal structure
a = 8.780 Å, b = 8.780 Å, c = 8.780 Å
α = 127.08°, β = 127.08°, γ = 78.12°
Positions (direct):
Cs  0.250  0.750  0.500
Cs  0.750  0.250  0.500
Sr  0.000  0.000  0.000
S  0.500  0.500  0.000
Br  0.217  0.217  0.000
Br  0.275  0.275  0.550
Br  0.275  0.725  0.000
Br  0.725  0.275  0.000
Br  0.725  0.725  0.450
Br  0.783  0.783  0.000

Peak list (10 most intense, 2θ = 15–90°, sorted by position)
d [Å], I_rel
4.296, 26
3.409, 43
3.393, 100
2.766, 52
2.148, 52
1.965, 13
1.956, 20
1.697, 19
1.695, 19
1.282, 14

***

# 10
This entry pairs a crystal structure of Sm4Ga2S with its theoretical powder diffraction line list. Radiation: λ = 1.5418 Å (Cu Kα). Structure: the PBE geometry in Alexandria.
Kinematic intensities with the Lorentz-polarization factor, no thermal factor.

Crystal structure
a = 6.465 Å, b = 6.465 Å, c = 8.667 Å
α = 122.26°, β = 122.26°, γ = 38.31°
Positions (direct):
Sm  0.084  0.084  0.372
Sm  0.325  0.325  0.913
Sm  0.675  0.675  0.087
Sm  0.916  0.916  0.628
Ga  0.380  0.380  0.338
Ga  0.620  0.620  0.662
S  0.000  0.000  0.000

Peak list (10 most intense, 2θ = 15–90°, sorted by position)
d [Å], I_rel
3.328, 35
3.152, 25
3.011, 29
2.984, 69
2.928, 100
2.871, 45
2.634, 39
2.390, 40
2.121, 36
1.788, 22

***

# 11
This entry pairs a crystal structure of SrThNb2O8 with its theoretical powder diffraction line list. Radiation: λ = 1.5418 Å (Cu Kα). Structure: the PBE geometry in Alexandria.
Kinematic intensities with the Lorentz-polarization factor, no thermal factor.

Crystal structure
a = 6.982 Å, b = 6.982 Å, c = 6.982 Å
α = 134.28°, β = 134.28°, γ = 66.65°
Positions (direct):
Sr  0.000  0.000  0.000
Th  0.250  0.750  0.500
Nb  0.500  0.500  0.000
Nb  0.750  0.250  0.500
O  0.005  0.084  0.426
O  0.257  0.656  0.094
O  0.344  0.438  0.601
O  0.421  0.995  0.079
O  0.562  0.163  0.906
O  0.658  0.579  0.574
O  0.837  0.743  0.399
O  0.916  0.342  0.921

Peak list (10 most intense, 2θ = 15–90°, sorted by position)
d [Å], I_rel
4.919, 16
3.205, 100
2.917, 14
2.712, 21
1.986, 31
1.918, 14
1.735, 17
1.646, 28
1.603, 12
1.286, 13

***

# 12
This entry pairs a crystal structure of CsGeCl3 with its theoretical powder diffraction line list. Radiation: λ = 1.5418 Å (Cu Kα). Structure: the PBE geometry in Alexandria.
Kinematic intensities with the Lorentz-polarization factor, no thermal factor.

Crystal structure
a = 7.503 Å, b = 7.503 Å, c = 7.334 Å
α = 90.00°, β = 90.00°, γ = 121.88°
Positions (direct):
Cs  0.167  0.833  0.750
Cs  0.833  0.167  0.250
Ge  0.479  0.479  0.500
Ge  0.521  0.521  0.000
Cl  0.163  0.342  0.673
Cl  0.342  0.163  0.327
Cl  0.347  0.653  0.250
Cl  0.653  0.347  0.750
Cl  0.658  0.837  0.827
Cl  0.837  0.658  0.173

Peak list (10 most intense, 2θ = 15–90°, sorted by position)
d [Å], I_rel
4.889, 32
4.810, 68
3.749, 64
3.644, 29
3.201, 28
3.179, 46
2.994, 44
2.922, 100
2.405, 38
1.875, 29

***

Repeat the second record exactly.
This entry pairs a crystal structure of Te4Mo3WSe4 with its theoretical powder diffraction line list. Radiation: λ = 1.5418 Å (Cu Kα). Structure: the PBE geometry in Alexandria.
Kinematic intensities with the Lorentz-polarization factor, no thermal factor.

Crystal structure
a = 3.437 Å, b = 3.437 Å, c = 29.005 Å
α = 90.00°, β = 90.00°, γ = 120.00°
Positions (direct):
Te  0.000  0.000  0.000
Te  0.000  0.000  0.128
Te  0.333  0.667  0.261
Te  0.333  0.667  0.390
Mo  0.000  0.000  0.816
Mo  0.333  0.667  0.064
Mo  0.333  0.667  0.575
W  0.000  0.000  0.325
Se  0.000  0.000  0.519
Se  0.000  0.000  0.632
Se  0.333  0.667  0.759
Se  0.333  0.667  0.872

Peak list (10 most intense, 2θ = 15–90°, sorted by position)
d [Å], I_rel
2.977, 44
2.754, 12
2.535, 100
2.187, 10
2.077, 59
1.719, 34
1.422, 16
1.324, 14
1.247, 16
1.096, 15